Calculated powder diffraction line list of ScBe17Pd for Cu Kα (λ = 1.5418 Å), from a GGA-PBE-relaxed structure.

Crystal structure
Lattice parameters (Å, degrees): 5.597 5.597 5.597 82.99 82.99 82.99
Atoms (fractional coordinates):
Sc (0.000, 0.000, 0.000)
Be (0.007, 0.007, 0.493)
Be (0.007, 0.493, 0.007)
Be (0.149, 0.670, 0.670)
Be (0.315, 0.315, 0.797)
Be (0.315, 0.797, 0.315)
Be (0.366, 0.654, 0.956)
Be (0.366, 0.956, 0.654)
Be (0.493, 0.007, 0.007)
Be (0.559, 0.559, 0.559)
Be (0.654, 0.366, 0.956)
Be (0.654, 0.956, 0.366)
Be (0.670, 0.149, 0.670)
Be (0.670, 0.670, 0.149)
Be (0.756, 0.756, 0.756)
Be (0.797, 0.315, 0.315)
Be (0.956, 0.366, 0.654)
Be (0.956, 0.654, 0.366)
Pd (0.326, 0.326, 0.326)

Principal peaks in the range 5° ≤ 2θ ≤ 70°, in order of rising 2θ:
2θ = 16.05°, I 100.0
2θ = 21.49°, I 53.1
2θ = 24.00°, I 95.0
2θ = 24.70°, I 30.8
2θ = 29.01°, I 30.7
2θ = 34.71°, I 99.4
2θ = 37.99°, I 29.8
2θ = 42.21°, I 39.2
2θ = 49.14°, I 32.2
2θ = 49.52°, I 59.5

=====

Calculated powder diffraction line list of NbPd7Pt4 for Cu Kα (λ = 1.5418 Å), from a GGA-PBE-relaxed structure.

Crystal structure
Lattice parameters (Å, degrees): 4.835 5.601 7.450 68.00 89.97 89.98
Atoms (fractional coordinates):
Nb (0.000, 0.000, 0.000)
Pd (0.000, 0.500, 0.000)
Pd (0.168, 0.586, 0.330)
Pd (0.335, 0.668, 0.666)
Pd (0.499, 0.249, 0.000)
Pd (0.501, 0.751, 0.000)
Pd (0.665, 0.332, 0.334)
Pd (0.832, 0.414, 0.670)
Pt (0.164, 0.082, 0.328)
Pt (0.329, 0.161, 0.675)
Pt (0.671, 0.839, 0.325)
Pt (0.836, 0.918, 0.672)

Principal peaks in the range 5° ≤ 2θ ≤ 70°, in order of rising 2θ:
2θ = 17.08°, I 8.0
2θ = 25.17°, I 6.3
2θ = 39.12°, I 49.4
2θ = 39.40°, I 100.0
2θ = 39.49°, I 48.4
2θ = 45.76°, I 95.6
2θ = 66.48°, I 21.3
2θ = 66.56°, I 10.9
2θ = 66.82°, I 10.2
2θ = 66.99°, I 20.2

=====

Calculated powder diffraction line list of Ti2MnFe for Cu Kα (λ = 1.5418 Å), from a GGA-PBE-relaxed structure.

Crystal structure
Lattice parameters (Å, degrees): 4.195 4.195 4.195 60.00 60.00 60.00
Atoms (fractional coordinates):
Ti (0.250, 0.250, 0.250)
Ti (0.750, 0.750, 0.750)
Mn (0.000, 0.000, 0.000)
Fe (0.500, 0.500, 0.500)

Principal peaks in the range 5° ≤ 2θ ≤ 70°, in order of rising 2θ:
2θ = 30.13°, I 1.3
2θ = 43.13°, I 100.0
2θ = 62.64°, I 14.8

=====

Calculated powder diffraction line list of Sr6Br5Cl7 for Cu Kα (λ = 1.5418 Å), from a GGA-PBE-relaxed structure.

Crystal structure
Lattice parameters (Å, degrees): 13.744 6.942 6.942 86.32 90.00 90.00
Atoms (fractional coordinates):
Sr (0.000, 0.000, 0.000)
Sr (0.162, 0.481, 0.481)
Sr (0.333, 0.983, 0.983)
Sr (0.500, 0.484, 0.484)
Sr (0.667, 0.983, 0.983)
Sr (0.838, 0.481, 0.481)
Br (0.000, 0.689, 0.689)
Br (0.331, 0.680, 0.680)
Br (0.332, 0.286, 0.286)
Br (0.668, 0.286, 0.286)
Br (0.669, 0.680, 0.680)
Cl (0.000, 0.293, 0.293)
Cl (0.165, 0.182, 0.796)
Cl (0.165, 0.796, 0.182)
Cl (0.500, 0.175, 0.790)
Cl (0.500, 0.790, 0.175)
Cl (0.835, 0.182, 0.796)
Cl (0.835, 0.796, 0.182)

Principal peaks in the range 5° ≤ 2θ ≤ 70°, in order of rising 2θ:
2θ = 17.51°, I 28.7
2θ = 18.69°, I 100.0
2θ = 23.28°, I 33.8
2θ = 26.23°, I 45.5
2θ = 27.05°, I 47.4
2θ = 34.32°, I 88.9
2θ = 35.59°, I 39.5
2θ = 37.90°, I 25.6
2θ = 39.33°, I 31.4
2θ = 43.90°, I 97.2

=====

Calculated powder diffraction line list of Tb8Sm3Mg for Cu Kα (λ = 1.5418 Å), from a GGA-PBE-relaxed structure.

Crystal structure
Lattice parameters (Å, degrees): 3.595 9.535 11.575 75.79 90.00 90.00
Atoms (fractional coordinates):
Tb (0.000, 0.000, 0.000)
Tb (0.000, 0.118, 0.496)
Tb (0.000, 0.340, 0.058)
Tb (0.000, 0.611, 0.782)
Tb (0.500, 0.052, 0.251)
Tb (0.500, 0.410, 0.303)
Tb (0.500, 0.780, 0.515)
Tb (0.501, 0.278, 0.803)
Sm (0.000, 0.455, 0.549)
Sm (0.499, 0.936, 0.755)
Sm (0.500, 0.668, 0.033)
Mg (0.001, 0.730, 0.276)

Principal peaks in the range 5° ≤ 2θ ≤ 70°, in order of rising 2θ:
2θ = 29.50°, I 34.4
2θ = 29.82°, I 22.7
2θ = 31.33°, I 29.1
2θ = 31.93°, I 100.0
2θ = 32.32°, I 68.8
2θ = 32.81°, I 31.7
2θ = 33.16°, I 44.6
2θ = 50.80°, I 19.6
2θ = 54.59°, I 36.5
2θ = 61.27°, I 31.5

=====

Calculated powder diffraction line list of BaCdCoSn2 for Cu Kα (λ = 1.5418 Å), from a GGA-PBE-relaxed structure.

Crystal structure
Lattice parameters (Å, degrees): 5.035 5.035 5.181 90.00 90.00 90.00
Atoms (fractional coordinates):
Ba (0.000, 0.000, 0.000)
Cd (0.500, 0.500, 0.000)
Co (0.500, 0.500, 0.500)
Sn (0.000, 0.500, 0.500)
Sn (0.500, 0.000, 0.500)

Principal peaks in the range 5° ≤ 2θ ≤ 70°, in order of rising 2θ:
2θ = 24.66°, I 5.9
2θ = 30.47°, I 100.0
2θ = 34.63°, I 29.8
2θ = 35.66°, I 55.0
2θ = 43.84°, I 2.5
2θ = 50.56°, I 40.4
2θ = 51.33°, I 19.3
2θ = 59.49°, I 15.3
2θ = 60.87°, I 28.5
2θ = 63.40°, I 20.4